Starting from the GGA-PBE geometry in Alexandria, the XRD peak list of Na10B13C7 was simulated for CuKα.
Neutral-atom scattering factors, no anomalous dispersion.

a = 4.957 Å, b = 7.662 Å, c = 9.003 Å
α = 75.99°, β = 74.08°, γ = 71.18°
Space group P1 (No. 1)
One atom of each set of equivalent atoms:
Na  0.000  0.000  0.000 x1
Na  0.001  0.500  0.495 x1
Na  0.202  0.599  0.997 x1
Na  0.203  0.101  0.494 x1
Na  0.400  0.199  0.001 x1
Na  0.401  0.700  0.496 x1
Na  0.600  0.800  0.999 x1
Na  0.602  0.301  0.493 x1
Na  0.799  0.400  0.001 x1
Na  0.803  0.901  0.493 x1
B  0.032  0.362  0.247 x1
B  0.203  0.235  0.747 x1
B  0.222  0.448  0.746 x1
B  0.243  0.939  0.247 x1
B  0.364  0.850  0.747 x1
B  0.436  0.550  0.246 x1
B  0.587  0.464  0.747 x1
B  0.618  0.150  0.248 x1
B  0.772  0.039  0.747 x1
B  0.820  0.252  0.747 x1
B  0.836  0.751  0.247 x1
B  0.960  0.661  0.747 x1
B  0.969  0.150  0.248 x1
C  0.029  0.850  0.748 x1
C  0.176  0.745  0.246 x1
C  0.367  0.353  0.247 x1
C  0.434  0.040  0.747 x1
C  0.570  0.947  0.248 x1
C  0.624  0.660  0.747 x1
C  0.770  0.556  0.246 x1

Peak list (6 most intense, 5 to 70 degrees two-theta, in order of falling intensity)
Position (°2θ)  I/Imax  h k l
41.83  100.0  1 3 3
42.17  53.1  2 1 3
42.37  38.8  0 0 4
35.87  20.0  1 -2 0
64.95  17.3  3 4 2
56.69  10.8  -1 2 4

---

Starting from the GGA-PBE geometry in Alexandria, the XRD peak list of Na5B8C2 was simulated for CuKα.
Neutral-atom scattering factors, no anomalous dispersion.

a = 14.092 Å, b = 5.283 Å, c = 8.670 Å
α = 90.00°, β = 90.00°, γ = 90.00°
Space group Cmcm (No. 63)
One atom of each set of equivalent atoms:
Na  0.000  0.000  0.000 x4
Na  0.101  0.500  0.000 x8
Na  0.200  0.000  0.000 x8
B  0.000  0.319  0.250 x4
B  0.000  0.352  0.750 x4
B  0.096  0.133  0.750 x8
B  0.195  0.346  0.750 x8
B  0.196  0.327  0.250 x8
C  0.098  0.162  0.250 x8

Peak list (6 most intense, 5 to 70 degrees two-theta, in order of falling intensity)
Position (°2θ)  I/Imax  h k l
41.88  100.0  5 1 2
39.97  49.8  0 2 2
41.67  37.8  0 0 4
62.16  18.3  5 3 0
36.12  16.6  5 1 0
33.94  13.3  0 2 0

---

Starting from the GGA-PBE geometry in Alexandria, the XRD peak list of Na10B13C7 was simulated for CuKα.
Neutral-atom scattering factors, no anomalous dispersion.

a = 5.016 Å, b = 7.594 Å, c = 8.995 Å
α = 75.95°, β = 73.86°, γ = 70.72°
Space group P1 (No. 1)
One atom of each set of equivalent atoms:
Na  0.000  0.000  0.000 x1
Na  0.000  0.499  0.502 x1
Na  0.200  0.098  0.501 x1
Na  0.201  0.600  0.000 x1
Na  0.399  0.699  0.504 x1
Na  0.400  0.200  0.000 x1
Na  0.598  0.300  0.501 x1
Na  0.600  0.800  0.998 x1
Na  0.798  0.900  0.503 x1
Na  0.800  0.400  0.998 x1
B  0.029  0.861  0.751 x1
B  0.038  0.349  0.251 x1
B  0.178  0.751  0.251 x1
B  0.241  0.438  0.751 x1
B  0.379  0.348  0.251 x1
B  0.433  0.049  0.751 x1
B  0.552  0.958  0.250 x1
B  0.615  0.650  0.751 x1
B  0.744  0.550  0.251 x1
B  0.832  0.250  0.751 x1
B  0.837  0.751  0.251 x1
B  0.961  0.141  0.251 x1
B  0.967  0.650  0.751 x1
C  0.173  0.244  0.751 x1
C  0.235  0.950  0.250 x1
C  0.365  0.852  0.751 x1
C  0.435  0.550  0.251 x1
C  0.567  0.447  0.751 x1
C  0.634  0.150  0.251 x1
C  0.768  0.055  0.751 x1

Peak list (6 most intense, 5 to 70 degrees two-theta, in order of falling intensity)
Position (°2θ)  I/Imax  h k l
42.04  100.0  1 3 3
41.80  50.7  2 1 3
42.44  38.0  0 0 4
36.08  18.0  1 3 1
64.52  17.5  3 4 2
56.90  10.0  1 3 5

---

Starting from the GGA-PBE geometry in Alexandria, the XRD peak list of Na5B8C2 was simulated for CuKα.
Neutral-atom scattering factors, no anomalous dispersion.

a = 5.049 Å, b = 7.763 Å, c = 9.100 Å
α = 76.18°, β = 74.17°, γ = 72.50°
Space group P-1 (No. 2)
One atom of each set of equivalent atoms:
Na  0.000  0.000  0.000 x1
Na  0.000  0.500  0.500 x1
Na  0.196  0.101  0.501 x2
Na  0.202  0.598  0.001 x2
Na  0.397  0.201  0.999 x2
Na  0.404  0.699  0.498 x2
B  0.030  0.362  0.250 x2
B  0.042  0.850  0.751 x2
B  0.166  0.263  0.750 x2
B  0.179  0.743  0.250 x2
B  0.225  0.958  0.250 x2
B  0.397  0.831  0.750 x2
B  0.424  0.057  0.749 x2
B  0.449  0.538  0.250 x2
C  0.230  0.455  0.750 x2
C  0.358  0.353  0.250 x2

Peak list (6 most intense, 5 to 70 degrees two-theta, in order of falling intensity)
Position (°2θ)  I/Imax  h k l
41.44  100.0  1 3 3
40.71  49.1  1 -2 2
41.89  36.8  0 0 4
62.79  17.6  3 -1 1
34.73  11.1  1 -2 0
56.08  10.0  2 1 5

---

Starting from the GGA-PBE geometry in Alexandria, the XRD peak list of Na4B7C was simulated for CuKα.
Neutral-atom scattering factors, no anomalous dispersion.

a = 2.9762 Å, b = 2.9762 Å, c = 17.1959 Å
α = 90.00°, β = 90.00°, γ = 120.00°
Space group P-6m2 (No. 187)
One atom of each set of equivalent atoms:
Na  0.0000  0.0000  0.1230 x2
Na  0.0000  0.0000  0.3737 x2
B  0.3333  0.6667  0.0000 x1
B  0.3333  0.6667  0.2482 x2
B  0.3333  0.6667  0.5000 x1
B  0.6667  0.3333  0.2482 x2
B  0.6667  0.3333  0.5000 x1
C  0.6667  0.3333  0.0000 x1

Peak list (6 most intense, 5 to 70 degrees two-theta, in order of falling intensity)
Position (°2θ)  I/Imax  h k l
40.82  100.0  1 0 4
42.03  23.2  0 0 8
34.81  19.8  1 0 0
62.40  18.0  1 1 0
55.68  10.5  1 0 8
66.49  1.9  1 1 4

---

Starting from the GGA-PBE geometry in Alexandria, the XRD peak list of Na10B17C3 was simulated for CuKα.
Neutral-atom scattering factors, no anomalous dispersion.

a = 5.078 Å, b = 8.658 Å, c = 7.845 Å
α = 90.00°, β = 108.16°, γ = 90.00°
Space group Pm (No. 6)
One atom of each set of equivalent atoms:
Na  0.000  0.247  0.000 x2
Na  0.207  0.251  0.401 x2
Na  0.401  0.248  0.801 x2
Na  0.607  0.250  0.202 x2
Na  0.803  0.250  0.601 x2
B  0.070  0.000  0.787 x1
B  0.131  0.500  0.619 x1
B  0.285  0.500  0.204 x1
B  0.298  0.000  0.221 x1
B  0.310  0.500  0.983 x1
B  0.327  0.000  0.996 x1
B  0.454  0.000  0.590 x1
B  0.465  0.500  0.598 x1
B  0.543  0.500  0.406 x1
B  0.664  0.500  0.004 x1
B  0.678  0.000  0.008 x1
B  0.726  0.000  0.795 x1
B  0.739  0.500  0.802 x1
B  0.871  0.000  0.414 x1
B  0.885  0.500  0.400 x1
B  0.935  0.500  0.193 x1
B  0.943  0.000  0.202 x1
C  0.060  0.500  0.801 x1
C  0.135  0.000  0.597 x1
C  0.544  0.000  0.405 x1

Peak list (6 most intense, 5 to 70 degrees two-theta, in order of falling intensity)
Position (°2θ)  I/Imax  h k l
40.99  100.0  1 2 -3
41.22  99.8  2 2 -1
40.64  98.9  1 2 2
41.73  72.7  0 4 0
34.69  21.5  1 0 2
35.09  19.3  1 0 -3